[1]
This entry pairs a crystal structure of Ba2SmInAu6 with its computed powder XRD pattern. Radiation: copper Kα. Structure: the GGA-PBE geometry in Alexandria.

Atomic structure:
```
data_Ba2SmInAu6
_space_group_name_H-M_alt 'F m -3 m'
_space_group_IT_number 225
_space_group_name_Hall '-F 4 2 3'
_cell_length_a 11.0108
_cell_length_b 11.0108
_cell_length_c 11.0108
_cell_angle_alpha 90.00
_cell_angle_beta 90.00
_cell_angle_gamma 90.00
loop_
_atom_site_label
_atom_site_fract_x
_atom_site_fract_y
_atom_site_fract_z
Ba1 0.2500 0.2500 0.2500
Sm1 0.0000 0.0000 0.0000
In1 0.0000 0.0000 0.5000
Au1 0.0000 0.0000 0.2557
```

Peak list (12 most intense, 15 to 90 degrees two-theta, by angle)
2θ (°)	Rel. int.	(hkl)
16.1	288	2 0 0
28.1	920	2 2 2
32.5	1000	4 0 0
36.5	158	4 2 0
46.7	735	4 4 0
49.7	83	6 0 0
55.3	424	6 2 2
58.0	256	4 4 4
68.1	119	8 0 0
75.2	174	6 6 2
77.5	333	8 4 0
86.6	258	8 4 4

***

[2]
This entry pairs a crystal structure of Ba2Tl6InAu with its computed powder XRD pattern. Radiation: copper Kα. Structure: the GGA-PBE geometry in Alexandria.

Atomic structure:
```
data_Ba2Tl6InAu
_space_group_name_H-M_alt 'R -3 m'
_space_group_IT_number 166
_space_group_name_Hall '-R 3 2"'
_cell_length_a 7.7899
_cell_length_b 7.7899
_cell_length_c 39.3338
_cell_angle_alpha 90.00
_cell_angle_beta 90.00
_cell_angle_gamma 120.00
loop_
_atom_site_label
_atom_site_fract_x
_atom_site_fract_y
_atom_site_fract_z
Ba1 0.0000 0.0000 0.1073
Ba2 0.0000 0.0000 0.2811
Tl1 0.0476 0.5238 0.3017
Tl2 0.0569 0.5285 0.8652
In1 0.0000 0.0000 0.4269
Au1 0.0000 0.0000 0.0000
Au2 0.0000 0.0000 0.5000
```

Peak list (12 most intense, 15 to 90 degrees two-theta, by angle)
2θ (°)	Rel. int.	(hkl)
17.3	198	0 1 5
28.2	248	0 1 11
28.8	799	2 0 5
30.9	1000	0 2 7
32.4	209	1 0 13
35.0	195	0 2 10
35.5	548	1 2 2
36.4	278	2 1 4
41.8	217	2 0 14
45.4	257	3 0 9
46.6	538	2 2 0
47.7	227	1 1 18

***

[3]
This entry pairs a crystal structure of BaZnIn2Au2 with its computed powder XRD pattern. Radiation: copper Kα. Structure: the GGA-PBE geometry in Alexandria.

Atomic structure:
```
data_BaZnIn2Au2
_space_group_name_H-M_alt 'I 4/m m m'
_space_group_IT_number 139
_space_group_name_Hall '-I 4 2'
_cell_length_a 4.9839
_cell_length_b 4.9839
_cell_length_c 14.4279
_cell_angle_alpha 90.00
_cell_angle_beta 90.00
_cell_angle_gamma 90.00
loop_
_atom_site_label
_atom_site_fract_x
_atom_site_fract_y
_atom_site_fract_z
Ba1 0.0000 0.0000 0.0000
Zn1 0.0000 0.0000 0.5000
In1 0.0000 0.5000 0.2500
Au1 0.0000 0.0000 0.3328
```

Peak list (12 most intense, 15 to 90 degrees two-theta, by angle)
2θ (°)	Rel. int.	(hkl)
18.8	183	1 0 1
25.3	334	1 1 0
25.7	1000	1 0 3
28.2	222	1 1 2
36.0	750	2 0 0
44.8	464	2 1 3
45.7	723	1 1 6
51.9	278	2 2 0
70.9	123	3 2 3
71.6	378	3 1 6
72.6	115	2 1 9
87.5	123	4 2 0

***

[4]
This entry pairs a crystal structure of BaIr2Au with its computed powder XRD pattern. Radiation: copper Kα. Structure: the GGA-PBE geometry in Alexandria.

Atomic structure:
```
data_BaIr2Au
_space_group_name_H-M_alt 'R 3 m'
_space_group_IT_number 160
_space_group_name_Hall 'R 3 -2"'
_cell_length_a 4.5012
_cell_length_b 4.5012
_cell_length_c 17.0049
_cell_angle_alpha 90.00
_cell_angle_beta 90.00
_cell_angle_gamma 120.00
loop_
_atom_site_label
_atom_site_fract_x
_atom_site_fract_y
_atom_site_fract_z
Ba1 0.0000 0.0000 0.0000
Ir1 0.0000 0.0000 0.1920
Ir2 0.0000 0.0000 0.5214
Au1 0.0000 0.0000 0.8061
```

Peak list (12 most intense, 15 to 90 degrees two-theta, by angle)
2θ (°)	Rel. int.	(hkl)
15.6	995	0 0 3
31.1	516	1 0 4
31.6	302	0 0 6
35.0	424	0 1 5
40.1	1000	1 1 0
43.3	490	1 1 3
51.6	126	0 2 4
51.9	454	1 1 6
59.3	193	1 0 10
64.9	126	0 1 11
72.8	176	3 0 0
87.6	137	2 1 10

***

[5]
This entry pairs a crystal structure of Ba4IrAu with its computed powder XRD pattern. Radiation: copper Kα. Structure: the GGA-PBE geometry in Alexandria.

Atomic structure:
```
data_Ba4IrAu
_space_group_name_H-M_alt 'C 1 2/c 1'
_space_group_IT_number 15
_cell_length_a 9.5099
_cell_length_b 18.1519
_cell_length_c 7.9670
_cell_angle_alpha 90.00
_cell_angle_beta 125.79
_cell_angle_gamma 90.00
loop_
_space_group_symop_operation_xyz
'x,y,z'
'-x,-y,-z'
'-x,y,-z+1/2'
'x,-y,z+1/2'
'x+1/2,y+1/2,z'
'-x+1/2,-y+1/2,-z'
'-x+1/2,y+1/2,-z+1/2'
'x+1/2,-y+1/2,z+1/2'
loop_
_atom_site_label
_atom_site_fract_x
_atom_site_fract_y
_atom_site_fract_z
Ba1 0.2276 0.1842 0.2441
Ba2 0.2307 0.0515 0.7303
Ir1 0.0000 0.0743 0.2500
Au1 0.0000 0.4267 0.7500
```

Peak list (12 most intense, 15 to 90 degrees two-theta, by angle)
2θ (°)	Rel. int.	(hkl)
16.8	471	0 2 1
21.1	183	2 2 -1
27.2	1000	2 4 -1
27.6	508	0 0 2
37.8	326	4 0 -2
38.0	119	2 6 -2
38.9	367	2 4 1
39.3	376	2 4 -3
39.7	154	0 8 0
49.1	165	0 8 2
56.0	144	4 8 -2
63.9	151	2 4 3

***

[6]
This entry pairs a crystal structure of Ba14Ir3Au6 with its computed powder XRD pattern. Radiation: copper Kα. Structure: the GGA-PBE geometry in Alexandria.

Atomic structure:
```
data_Ba14Ir3Au6
_space_group_name_H-M_alt 'P 3 m 1'
_space_group_IT_number 156
_cell_length_a 11.4998
_cell_length_b 11.4998
_cell_length_c 8.0244
_cell_angle_alpha 90.00
_cell_angle_beta 90.00
_cell_angle_gamma 120.00
loop_
_space_group_symop_operation_xyz
'x,y,z'
'-y,x-y,z'
'-x+y,-x,z'
'-y,-x,z'
'-x+y,y,z'
'x,x-y,z'
loop_
_atom_site_label
_atom_site_fract_x
_atom_site_fract_y
_atom_site_fract_z
Ba1 0.0000 0.0000 0.0000
Ba2 0.0856 0.5428 0.2910
Ba3 0.2052 0.4103 0.7549
Ba4 0.2470 0.1235 0.4395
Ba5 0.4189 0.2094 0.9518
Ba6 0.6667 0.3333 0.5104
Ir1 0.0000 0.0000 0.6387
Ir2 0.3333 0.6667 0.5281
Ir3 0.6667 0.3333 0.1484
Au1 0.1477 0.2954 0.1736
Au2 0.5206 0.0412 0.6867
```

Peak list (12 most intense, 15 to 90 degrees two-theta, by angle)
2θ (°)	Rel. int.	(hkl)
21.0	575	0 2 1
26.1	819	2 1 1
27.1	231	1 1 2
28.6	949	2 0 2
29.1	620	3 0 1
31.1	1000	2 2 0
37.8	245	4 0 1
38.2	598	0 2 3
38.5	229	2 2 2
43.4	245	0 3 3
47.4	264	3 3 0
50.1	208	4 0 3